1.
Theoretical XRD peak list
Compound: Dy5Pb2C2
Radiation: Cu Kα
Structure: a structure optimized by DFT (PBE)

Cell and atoms:
a = 4.8877 Å, b = 4.8877 Å, c = 9.4424 Å
α = 90.00°, β = 90.00°, γ = 90.00°
Sites, in units of the cell vectors:
Dy 0.0000 0.0000 0.0000
Dy 0.0000 0.5000 0.2818
Dy 0.0000 0.5000 0.7182
Dy 0.5000 0.0000 0.2818
Dy 0.5000 0.0000 0.7182
Pb 0.5000 0.5000 0.0000
Pb 0.5000 0.5000 0.5000
C 0.0000 0.0000 0.2460
C 0.0000 0.0000 0.7540

Most intense lines, 2θ = 5–70°, by angle:
2θ = 26.24°, I 9.5
2θ = 27.48°, I 9.6
2θ = 32.10°, I 100.0
2θ = 36.78°, I 40.8
2θ = 38.12°, I 13.2
2θ = 52.99°, I 14.4
2θ = 54.01°, I 19.3
2θ = 55.44°, I 8.1
2θ = 63.31°, I 29.4
2θ = 67.13°, I 10.1


2.
Theoretical XRD peak list
Compound: Pu6Pt2Au
Radiation: Cu Kα
Structure: a structure optimized by DFT (PBE)

Cell and atoms:
a = 7.8238 Å, b = 7.8238 Å, c = 4.2749 Å
α = 90.00°, β = 90.00°, γ = 120.00°
Sites, in units of the cell vectors:
Pu 0.0000 0.4104 0.0000
Pu 0.0000 0.7297 0.5000
Pu 0.2703 0.2703 0.5000
Pu 0.4104 0.0000 0.0000
Pu 0.5896 0.5896 0.0000
Pu 0.7297 0.0000 0.5000
Pt 0.3333 0.6667 0.5000
Pt 0.6667 0.3333 0.5000
Au 0.0000 0.0000 0.0000

Most intense lines, 2θ = 5–70°, by angle:
2θ = 30.99°, I 100.0
2θ = 33.76°, I 87.0
2θ = 35.04°, I 40.2
2θ = 39.92°, I 41.7
2θ = 41.09°, I 23.0
2θ = 42.28°, I 28.6
2θ = 48.44°, I 12.3
2θ = 56.04°, I 21.7
2θ = 59.54°, I 29.3
2θ = 63.70°, I 34.7